# 1
Diffraction record for TaHgOs2. The powder XRD pattern is simulated, not measured: it uses a PBE-relaxed structure and a wavelength of 1.5418 Å.
No peak broadening, texture or thermal motion is included.

Largest 10 diffraction maxima, sorted by position, 2θ from 10° to 80°:
index, d [Å], two_theta, Rel. int.
2 0 -2, 2.384, 37.74, 100.0
4 0 0, 2.259, 39.91, 26.9
3 1 -1, 2.064, 43.86, 45.3
2 0 2, 1.982, 45.78, 16.6
0 2 0, 1.491, 62.27, 8.2
1 1 -3, 1.460, 63.73, 13.5
5 1 1, 1.401, 66.78, 9.9
2 2 -2, 1.264, 75.14, 9.4
5 1 -3, 1.245, 76.52, 17.3
7 1 -1, 1.208, 79.31, 12.3

Unit cell a=9.2587 b=2.9821 c=5.0282 alpha=90.00 beta=102.63 gamma=90.00
Space group C2/m (No. 12)
Inequivalent atoms, fractional coordinates:
Ta  0.0000  0.0000  0.0000 [2 per cell]
Hg  0.0000  0.5000  0.5000 [2 per cell]
Os  0.2324  0.5000  0.2177 [4 per cell]

***

# 2
Diffraction record for Tb8HgOs2. The powder XRD pattern is simulated, not measured: it uses a PBE-relaxed structure and a wavelength of 1.5418 Å.
No peak broadening, texture or thermal motion is included.

Largest 10 diffraction maxima, sorted by position, 2θ from 10° to 80°:
index, d [Å], two_theta, Rel. int.
2 0 1, 3.008, 29.70, 53.3
0 4 1, 2.786, 32.13, 100.0
3 1 -1, 2.734, 32.75, 92.8
1 1 -2, 2.702, 33.16, 43.5
0 0 2, 2.692, 33.28, 30.2
2 4 0, 2.585, 34.70, 62.7
0 2 2, 2.489, 36.09, 34.5
3 3 0, 2.374, 37.90, 63.6
1 5 -1, 2.323, 38.77, 42.0
2 8 1, 1.432, 65.16, 32.4

Unit cell a=8.7560 b=13.0235 c=5.5425 alpha=90.00 beta=103.72 gamma=90.00
Space group Cm (No. 8)
Inequivalent atoms, fractional coordinates:
Tb  0.0000  0.0000  0.0000 [2 per cell]
Tb  0.0771  0.3671  0.7854 [4 per cell]
Tb  0.1832  0.1330  0.6166 [4 per cell]
Tb  0.2616  0.5000  0.4030 [2 per cell]
Tb  0.3800  0.2458  0.2011 [4 per cell]
Hg  0.3810  0.0000  0.2006 [2 per cell]
Os  0.3803  0.3137  0.7015 [4 per cell]

***

# 3
Diffraction record for Tb5Hg2Os2. The powder XRD pattern is simulated, not measured: it uses a PBE-relaxed structure and a wavelength of 1.5418 Å.
No peak broadening, texture or thermal motion is included.

Largest 10 diffraction maxima, sorted by position, 2θ from 10° to 80°:
index, d [Å], two_theta, Rel. int.
3 1 2, 2.871, 31.15, 62.5
4 0 2, 2.768, 32.35, 100.0
4 2 0, 2.743, 32.64, 74.8
0 2 2, 2.669, 33.58, 58.7
4 2 1, 2.581, 34.76, 75.7
1 1 3, 2.378, 37.83, 44.9
5 1 2, 2.342, 38.44, 80.8
7 1 1, 2.117, 42.72, 23.8
8 0 0, 2.017, 44.93, 26.4
9 1 3, 1.438, 64.86, 25.7

Unit cell a=16.1393 b=7.4815 c=7.6184 alpha=90.00 beta=90.00 gamma=90.00
Space group Cmce (No. 64)
Inequivalent atoms, fractional coordinates:
Tb  0.0000  0.0000  0.0000 [4 per cell]
Tb  0.1226  0.1802  0.3199 [16 per cell]
Hg  0.2191  0.0000  0.0000 [8 per cell]
Os  0.0000  0.1152  0.6191 [8 per cell]